This entry pairs a crystal structure of DyErSiSe with its simulated powder XRD pattern. Radiation: Cu Kα, 1.54184 Å. Structure: a DFT-relaxed cell (GGA-PBE, Alexandria).

Structure:
a = 4.0829 Å, b = 4.0829 Å, c = 20.2938 Å
α = 90.00°, β = 90.00°, γ = 120.00°
Sites, in units of the cell vectors:
Dy (0.0000, 0.0000, 0.0000)
Dy (0.3333, 0.6667, 0.6667)
Dy (0.6667, 0.3333, 0.3333)
Er (0.0000, 0.0000, 0.4904)
Er (0.3333, 0.6667, 0.1571)
Er (0.6667, 0.3333, 0.8237)
Si (0.0000, 0.0000, 0.7459)
Si (0.3333, 0.6667, 0.4125)
Si (0.6667, 0.3333, 0.0792)
Se (0.0000, 0.0000, 0.2443)
Se (0.3333, 0.6667, 0.9110)
Se (0.6667, 0.3333, 0.5776)

Most intense lines, 10° ≤ 2θ ≤ 80°, by angle:
Position (°2θ)	I_rel	index
26.7	355	0 1 2
30.8	1000	1 0 4
43.9	364	0 1 8
44.4	370	1 1 0
55.0	194	0 2 4
73.2	166	2 1 4